The following is a calculated powder X-ray diffraction pattern of La4HoSb5. It was derived from DFT lattice parameters and positions (PBE), using a wavelength of 1.5418 Å.
Kinematic intensities with the Lorentz-polarization factor, no thermal factor.

```
data_La4HoSb5
_cell_length_a 7.9265
_cell_length_b 7.9265
_cell_length_c 7.9265
_cell_angle_alpha 99.62
_cell_angle_beta 99.62
_cell_angle_gamma 131.73
_space_group_name_H-M_alt 'P 1'
_space_group_IT_number 1
loop_
_space_group_symop_operation_xyz
'x,y,z'
loop_
_atom_site_label
_atom_site_type_symbol
_atom_site_fract_x
_atom_site_fract_y
_atom_site_fract_z
_atom_site_occupancy
La1 La 0.0974 0.6999 0.7973 1
La2 La 0.3001 0.0974 0.3974 1
La3 La 0.6999 0.9026 0.6026 1
La4 La 0.9026 0.3001 0.2027 1
Ho1 Ho 0.5000 0.5000 0.0000 1
Sb1 Sb 0.0000 0.0000 0.0000 1
Sb2 Sb 0.2077 0.4019 0.6096 1
Sb3 Sb 0.4019 0.7923 0.1942 1
Sb4 Sb 0.5981 0.2077 0.8058 1
Sb5 Sb 0.7923 0.5981 0.3904 1
```

Most intense lines, 10 to 80 degrees two-theta, by angle:
d/Å, 2theta, Rel. int.
3.738, 23.81, 1
3.237, 27.56, 100
2.289, 39.36, 77
1.952, 46.53, 1
1.869, 48.72, 28
1.621, 56.81, 4
1.617, 56.93, 9
1.448, 64.33, 24
1.447, 64.40, 12
1.322, 71.38, 26


The following is a calculated powder X-ray diffraction pattern of Li4Pd3Au2. It was derived from DFT lattice parameters and positions (PBE), using a wavelength of 1.5418 Å.
Kinematic intensities with the Lorentz-polarization factor, no thermal factor.

```
data_Li4Pd3Au2
_cell_length_a 3.9997
_cell_length_b 4.6326
_cell_length_c 8.2373
_cell_angle_alpha 76.85
_cell_angle_beta 89.96
_cell_angle_gamma 64.49
_space_group_name_H-M_alt 'P 1'
_space_group_IT_number 1
loop_
_space_group_symop_operation_xyz
'x,y,z'
loop_
_atom_site_label
_atom_site_type_symbol
_atom_site_fract_x
_atom_site_fract_y
_atom_site_fract_z
_atom_site_occupancy
Li1 Li 0.0049 0.4878 0.3355 1
Li2 Li 0.3341 0.8306 0.1092 1
Li3 Li 0.6659 0.1694 0.8908 1
Li4 Li 0.9951 0.5122 0.6645 1
Pd1 Pd 0.0000 0.5000 0.0000 1
Pd2 Pd 0.3324 0.8352 0.4357 1
Pd3 Pd 0.6676 0.1648 0.5643 1
Au1 Au 0.3321 0.8365 0.7821 1
Au2 Au 0.6679 0.1635 0.2179 1
```

Most intense lines, 10 to 80 degrees two-theta, by angle:
d/Å, 2theta, Rel. int.
4.043, 21.99, 89
3.586, 24.83, 22
3.283, 27.16, 59
3.142, 28.41, 79
2.529, 35.49, 56
2.259, 39.91, 100
2.236, 40.33, 98
2.001, 45.32, 71
1.850, 49.24, 36
1.358, 69.18, 23


The following is a calculated powder X-ray diffraction pattern of PmPrY2Sc4. It was derived from DFT lattice parameters and positions (PBE), using a wavelength of 1.5418 Å.
Kinematic intensities with the Lorentz-polarization factor, no thermal factor.

```
data_PmPrY2Sc4
_cell_length_a 9.1471
_cell_length_b 9.1471
_cell_length_c 9.1471
_cell_angle_alpha 137.78
_cell_angle_beta 103.00
_cell_angle_gamma 91.98
_space_group_name_H-M_alt 'P 1'
_space_group_IT_number 1
loop_
_space_group_symop_operation_xyz
'x,y,z'
loop_
_atom_site_label
_atom_site_type_symbol
_atom_site_fract_x
_atom_site_fract_y
_atom_site_fract_z
_atom_site_occupancy
Pm1 Pm 0.0000 0.0000 0.0000 1
Pm2 Pm 0.5000 0.0000 0.5000 1
Pr1 Pr 0.5000 0.0000 0.0000 1
Pr2 Pr 0.5000 0.5000 0.5000 1
Y1 Y 0.0000 0.0000 0.5000 1
Y2 Y 0.0000 0.5000 0.0000 1
Y3 Y 0.0000 0.5000 0.5000 1
Y4 Y 0.5000 0.5000 0.0000 1
Sc1 Sc 0.2482 0.2467 0.4985 1
Sc2 Sc 0.2482 0.7497 0.0015 1
Sc3 Sc 0.2491 0.2495 0.9996 1
Sc4 Sc 0.2501 0.7505 0.4996 1
Sc5 Sc 0.7499 0.2495 0.5004 1
Sc6 Sc 0.7509 0.7505 0.0004 1
Sc7 Sc 0.7518 0.2503 0.9985 1
Sc8 Sc 0.7518 0.7533 0.5015 1
```

Most intense lines, 10 to 80 degrees two-theta, by angle:
d/Å, 2theta, Rel. int.
4.241, 20.95, 35
3.178, 28.08, 45
2.925, 30.56, 14
2.850, 31.39, 100
2.122, 42.61, 84
2.040, 44.40, 10
1.646, 55.87, 18
1.461, 63.68, 24
1.388, 67.49, 20
1.301, 72.69, 11


The following is a calculated powder X-ray diffraction pattern of Au7C5. It was derived from DFT lattice parameters and positions (PBE), using a wavelength of 1.5418 Å.
Kinematic intensities with the Lorentz-polarization factor, no thermal factor.

```
data_Au7C5
_cell_length_a 7.2684
_cell_length_b 7.2684
_cell_length_c 7.2684
_cell_angle_alpha 98.79
_cell_angle_beta 98.79
_cell_angle_gamma 133.99
_space_group_name_H-M_alt 'P 1'
_space_group_IT_number 1
loop_
_space_group_symop_operation_xyz
'x,y,z'
loop_
_atom_site_label
_atom_site_type_symbol
_atom_site_fract_x
_atom_site_fract_y
_atom_site_fract_z
_atom_site_occupancy
Au1 Au 0.0000 0.0000 0.0000 1
Au2 Au 0.4478 0.7011 0.7467 1
Au3 Au 0.4491 0.9491 0.5000 1
Au4 Au 0.7011 0.4478 0.7467 1
Au5 Au 0.7011 0.9545 0.2533 1
Au6 Au 0.9491 0.4491 0.5000 1
Au7 Au 0.9545 0.7011 0.2533 1
C1 C 0.3660 0.3660 0.7852 1
C2 C 0.3660 0.5808 0.0000 1
C3 C 0.3786 0.3786 0.0000 1
C4 C 0.5808 0.3660 0.0000 1
C5 C 0.5808 0.5808 0.2148 1
```

Most intense lines, 10 to 80 degrees two-theta, by angle:
d/Å, 2theta, Rel. int.
4.871, 18.21, 53
4.731, 18.76, 76
3.394, 26.26, 89
2.435, 36.91, 25
2.382, 37.76, 32
2.365, 38.04, 64
2.165, 41.71, 100
2.116, 42.74, 18
1.673, 54.89, 25
1.324, 71.24, 42


The following is a calculated powder X-ray diffraction pattern of NdY8Tm5. It was derived from DFT lattice parameters and positions (PBE), using a wavelength of 1.5418 Å.
Kinematic intensities with the Lorentz-polarization factor, no thermal factor.

```
data_NdY8Tm5
_cell_length_a 8.4310
_cell_length_b 8.4310
_cell_length_c 8.4310
_cell_angle_alpha 111.51
_cell_angle_beta 111.51
_cell_angle_gamma 105.47
_space_group_name_H-M_alt 'P 1'
_space_group_IT_number 1
loop_
_space_group_symop_operation_xyz
'x,y,z'
loop_
_atom_site_label
_atom_site_type_symbol
_atom_site_fract_x
_atom_site_fract_y
_atom_site_fract_z
_atom_site_occupancy
Nd1 Nd 0.0000 0.0000 0.0000 1
Y1 Y 0.0835 0.6696 0.7591 1
Y2 Y 0.1722 0.2789 0.7507 1
Y3 Y 0.3304 0.0895 0.4139 1
Y4 Y 0.5283 0.4215 0.2493 1
Y5 Y 0.5785 0.8278 0.1067 1
Y6 Y 0.6755 0.9165 0.5861 1
Y7 Y 0.7211 0.4717 0.8933 1
Y8 Y 0.9105 0.3245 0.2409 1
Tm1 Tm 0.2107 0.6132 0.1789 1
Tm2 Tm 0.3868 0.5658 0.5976 1
Tm3 Tm 0.4342 0.0318 0.8211 1
Tm4 Tm 0.7500 0.2500 0.5000 1
Tm5 Tm 0.9682 0.7893 0.4024 1
```

Most intense lines, 10 to 80 degrees two-theta, by angle:
d/Å, 2theta, Rel. int.
3.919, 22.69, 33
3.203, 27.85, 50
3.021, 29.57, 70
3.001, 29.77, 72
2.804, 31.92, 21
2.655, 33.76, 100
2.587, 34.68, 36
2.549, 35.21, 47
2.122, 42.61, 22
1.480, 62.77, 22


The following is a calculated powder X-ray diffraction pattern of As4Rh. It was derived from DFT lattice parameters and positions (PBE), using a wavelength of 1.5418 Å.
Kinematic intensities with the Lorentz-polarization factor, no thermal factor.

```
data_As4Rh
_cell_length_a 5.2285
_cell_length_b 5.1971
_cell_length_c 7.3400
_cell_angle_alpha 90.00
_cell_angle_beta 101.07
_cell_angle_gamma 90.00
_space_group_name_H-M_alt 'P 1'
_space_group_IT_number 1
loop_
_space_group_symop_operation_xyz
'x,y,z'
loop_
_atom_site_label
_atom_site_type_symbol
_atom_site_fract_x
_atom_site_fract_y
_atom_site_fract_z
_atom_site_occupancy
As1 As 0.1342 0.1693 0.4283 1
As2 As 0.1342 0.3307 0.9283 1
As3 As 0.2928 0.6848 0.7529 1
As4 As 0.2928 0.8152 0.2529 1
As5 As 0.7072 0.1848 0.7471 1
As6 As 0.7072 0.3152 0.2471 1
As7 As 0.8658 0.6693 0.0717 1
As8 As 0.8658 0.8307 0.5717 1
Rh1 Rh 0.5000 0.0000 0.0000 1
Rh2 Rh 0.5000 0.5000 0.5000 1
```

Most intense lines, 10 to 80 degrees two-theta, by angle:
d/Å, 2theta, Rel. int.
3.091, 28.88, 100
2.760, 32.44, 99
2.301, 39.16, 34
2.265, 39.80, 18
1.923, 47.28, 27
1.877, 48.51, 20
1.826, 49.96, 34
1.764, 51.84, 20
1.684, 54.48, 18
1.675, 54.82, 19


The following is a calculated powder X-ray diffraction pattern of HfPd2Au6. It was derived from DFT lattice parameters and positions (PBE), using a wavelength of 1.5418 Å.
Kinematic intensities with the Lorentz-polarization factor, no thermal factor.

```
data_HfPd2Au6
_cell_length_a 6.6168
_cell_length_b 6.6168
_cell_length_c 6.6201
_cell_angle_alpha 107.68
_cell_angle_beta 107.68
_cell_angle_gamma 35.15
_space_group_name_H-M_alt 'P 1'
_space_group_IT_number 1
loop_
_space_group_symop_operation_xyz
'x,y,z'
loop_
_atom_site_label
_atom_site_type_symbol
_atom_site_fract_x
_atom_site_fract_y
_atom_site_fract_z
_atom_site_occupancy
Hf1 Hf 0.0000 0.0000 0.0000 1
Pd1 Pd 0.4495 0.4495 0.6797 1
Pd2 Pd 0.5505 0.5505 0.3203 1
Au1 Au 0.1088 0.1088 0.6687 1
Au2 Au 0.2203 0.2203 0.3358 1
Au3 Au 0.3362 0.3362 0.9937 1
Au4 Au 0.6638 0.6638 0.0063 1
Au5 Au 0.7797 0.7797 0.6642 1
Au6 Au 0.8912 0.8912 0.3313 1
```

Most intense lines, 10 to 80 degrees two-theta, by angle:
d/Å, 2theta, Rel. int.
2.382, 37.77, 100
2.103, 43.02, 17
2.092, 43.25, 17
1.998, 45.39, 15
1.483, 62.65, 12
1.448, 64.32, 11
1.445, 64.49, 11
1.261, 75.36, 13
1.256, 75.69, 13
1.215, 78.76, 12


The following is a calculated powder X-ray diffraction pattern of InAuBr4. It was derived from DFT lattice parameters and positions (PBE), using a wavelength of 1.5418 Å.
Kinematic intensities with the Lorentz-polarization factor, no thermal factor.

```
data_InAuBr4
_cell_length_a 7.6102
_cell_length_b 4.0077
_cell_length_c 14.9856
_cell_angle_alpha 90.00
_cell_angle_beta 118.65
_cell_angle_gamma 90.00
_space_group_name_H-M_alt 'P 1'
_space_group_IT_number 1
loop_
_space_group_symop_operation_xyz
'x,y,z'
loop_
_atom_site_label
_atom_site_type_symbol
_atom_site_fract_x
_atom_site_fract_y
_atom_site_fract_z
_atom_site_occupancy
In1 In 0.0000 0.0000 0.0000 1
In2 In 0.0000 0.5000 0.5000 1
Au1 Au 0.5000 0.0000 0.5000 1
Au2 Au 0.5000 0.5000 0.0000 1
Br1 Br 0.0112 0.0096 0.6300 1
Br2 Br 0.0112 0.4904 0.1300 1
Br3 Br 0.4079 0.5987 0.6016 1
Br4 Br 0.4079 0.9013 0.1016 1
Br5 Br 0.5921 0.0987 0.8984 1
Br6 Br 0.5921 0.4013 0.3984 1
Br7 Br 0.9888 0.5096 0.8700 1
Br8 Br 0.9888 0.9904 0.3700 1
```

Most intense lines, 10 to 80 degrees two-theta, by angle:
d/Å, 2theta, Rel. int.
6.575, 13.47, 100
3.339, 26.70, 50
3.101, 28.79, 81
2.528, 35.51, 16
2.429, 37.01, 25
2.393, 37.59, 38
2.143, 42.18, 28
2.021, 44.85, 14
1.877, 48.50, 17
1.873, 48.61, 13